Computed powder diffraction line list of Y3ScGe2C for Cu Kα, 1.54184 Å, from the PBE geometry in Alexandria.

Largest 6 diffraction maxima, in order of rising 2θ, 2θ = 10–90°:
| h k l | 2θ/deg | d_spacing | I_rel |
| --- | --- | --- | --- |
| 1 1 0 | 27.74 | 3.216 | 35 |
| 1 1 2 | 30.17 | 2.962 | 73 |
| 0 0 6 | 35.39 | 2.536 | 32 |
| 1 1 4 | 36.59 | 2.456 | 100 |
| 0 2 0 | 38.68 | 2.328 | 37 |
| 2 0 0 | 40.57 | 2.224 | 33 |

a = 4.447 Å, b = 4.656 Å, c = 15.218 Å
α = 90.00°, β = 90.00°, γ = 90.00°
Space group Immm (No. 71)
Unique sites:
Y 0.000 0.000 0.000
Y 0.000 0.500 0.166
Sc 0.000 0.000 0.500
Ge 0.000 0.500 0.363
C 0.000 0.500 0.000